This entry pairs a crystal structure of In10Pb6S21 with its computed PXRD pattern. Radiation: λ = 1.5418 Å (Cu Kα). Structure: a cell relaxed with PBE.
No peak broadening, texture or thermal motion is included.

Largest 12 diffraction maxima, sorted by position, 10 to 80 degrees two-theta:
d_spacing, intensity
4.033, 376
3.868, 475
3.593, 505
3.471, 935
3.338, 552
2.804, 1000
2.790, 487
2.750, 646
2.557, 388
2.426, 386
1.953, 567
1.943, 426

Crystal structure
```
In10Pb6S21
1.0
3.906 0.000 0.000
-1.928 14.000 0.000
-0.001 -1.491 15.852
In Pb S
10 6 21
Direct
0.000 0.000 0.000
0.030 0.053 0.258
0.208 0.405 0.614
0.252 0.496 0.022
0.306 0.598 0.436
0.423 0.826 0.147
0.617 0.225 0.110
0.741 0.456 0.821
0.781 0.555 0.235
0.831 0.651 0.643
0.383 0.750 0.885
0.452 0.877 0.425
0.473 0.929 0.699
0.565 0.127 0.560
0.589 0.175 0.835
0.647 0.300 0.370
0.051 0.097 0.721
0.099 0.184 0.003
0.119 0.230 0.225
0.135 0.266 0.497
0.198 0.371 0.890
0.238 0.465 0.317
0.275 0.556 0.727
0.320 0.634 0.152
0.366 0.725 0.563
0.489 0.975 0.893
0.525 0.027 0.129
0.543 0.079 0.365
0.672 0.330 0.693
0.712 0.417 0.105
0.748 0.500 0.531
0.797 0.588 0.941
0.845 0.682 0.366
0.901 0.789 0.761
0.919 0.823 0.032
0.946 0.869 0.254
0.989 0.958 0.537
```